MnS2: simulated X-ray powder pattern (Cu Kα X-rays), based on a DFT-relaxed cell (GGA-PBE, the Materials Project).

Peak list (12 most intense, 2θ = 10–80°, sorted by position)
2theta, intensity
12.06, 100
31.88, 19
37.09, 35
42.37, 5
45.41, 12
52.13, 11
54.78, 10
56.31, 9
63.59, 5
68.01, 5
73.81, 2
79.01, 3

Crystal structure
```
data_MnS2
_cell_length_a 7.591
_cell_length_b 7.591
_cell_length_c 7.591
_cell_angle_alpha 25.51
_cell_angle_beta 25.51
_cell_angle_gamma 25.51
_space_group_name_H-M_alt 'P 1'
_space_group_IT_number 1
_space_group_name_Hall 'P 1'
loop_
_atom_site_label
_atom_site_fract_x
_atom_site_fract_y
_atom_site_fract_z
Mn1 0.000 0.000 0.000
S1 0.393 0.393 0.393
S2 0.607 0.607 0.607
```